Starting from a DFT-relaxed cell (GGA+U, Alexandria), the powder XRD pattern of Cs2ZrMnMo4O16 was calculated for λ = 1.5418 Å (Cu Kα).

Crystal structure
```
data_Cs2ZrMnMo4O16
_chemical_formula_sum 'Cs4 Zr2 Mn2 Mo8 O32'
_symmetry_space_group_name_H-M 'C 1 2/m 1'
_symmetry_Int_Tables_number 12
_cell_length_a 19.6069
_cell_length_b 5.9546
_cell_length_c 10.3275
_cell_angle_alpha 90.00
_cell_angle_beta 121.63
_cell_angle_gamma 90.00
loop_
_symmetry_equiv_pos_as_xyz
'x,y,z'
'-x,-y,-z'
'-x,y,-z'
'x,-y,z'
'x+1/2,y+1/2,z'
'-x+1/2,-y+1/2,-z'
'-x+1/2,y+1/2,-z'
'x+1/2,-y+1/2,z'
loop_
_atom_site_label
_atom_site_type_symbol
_atom_site_fract_x
_atom_site_fract_y
_atom_site_fract_z
_atom_site_occupancy
Cs1 Cs 0.2426 0.0000 0.2305 1
Zr1 Zr 0.0000 0.5000 0.5000 1
Mn1 Mn 0.0000 0.0000 0.0000 1
Mo1 Mo 0.1090 0.5000 0.9426 1
Mo2 Mo 0.1111 0.0000 0.4448 1
O1 O 0.0732 0.5000 0.7365 1
O2 O 0.0754 0.2529 0.4928 1
O3 O 0.0769 0.2519 0.9932 1
O4 O 0.0799 0.0000 0.2497 1
O5 O 0.2144 0.5000 0.0459 1
O6 O 0.2157 0.0000 0.5511 1
```

Principal peaks in the range 2θ = 15–90°, in order of falling intensity:
hkl 4 0 -2, 20.2 deg, d 4.389, rel. 100; hkl 5 1 -1, 27.5 deg, d 3.245, rel. 85; hkl 0 2 0, 30.0 deg, d 2.979, rel. 66; hkl 8 2 -4, 51.8 deg, d 1.766, rel. 19; hkl 1 3 1, 47.9 deg, d 1.899, rel. 18; hkl 1 1 -1, 17.2 deg, d 5.160, rel. 18